[1]
This entry pairs a crystal structure of NaZnH9O6 with its theoretical powder diffraction line list. Radiation: Cu Kα, 1.54184 Å. Structure: the PBE geometry in the Materials Project.
Intensities are scaled so that the largest is 100.

Atomic structure:
Cell: 3.4669 8.2013 11.1813 Å, 94.40 98.25 92.22°
Fractional coordinates of all 34 atoms:
Na  0.2054  0.2227  0.2842
Na  0.7946  0.7773  0.7158
Zn  0.2313  0.4096  0.8224
Zn  0.7687  0.5904  0.1776
H  0.0137  0.8015  0.0598
H  0.0488  0.8705  0.3852
H  0.1054  0.6741  0.5096
H  0.2023  0.5440  0.6049
H  0.2187  0.3941  0.0782
H  0.3252  0.0174  0.8747
H  0.3800  0.9390  0.3226
H  0.4124  0.3060  0.6246
H  0.4827  0.8546  0.9277
H  0.5173  0.1454  0.0723
H  0.5876  0.6940  0.3754
H  0.6200  0.0610  0.6774
H  0.6748  0.9826  0.1253
H  0.7813  0.6059  0.9218
H  0.7977  0.4560  0.3951
H  0.8946  0.3259  0.4904
H  0.9512  0.1295  0.6148
H  0.9863  0.1985  0.9402
O  0.1603  0.3400  0.6444
O  0.1877  0.9744  0.3741
O  0.2290  0.6630  0.5938
O  0.2466  0.4659  0.1541
O  0.2575  0.2309  0.9353
O  0.3603  0.8997  0.8523
O  0.6397  0.1003  0.1477
O  0.7425  0.7691  0.0647
O  0.7534  0.5341  0.8459
O  0.7710  0.3370  0.4062
O  0.8123  0.0256  0.6259
O  0.8397  0.6600  0.3556

Main lines, most intense first (2θ from 5° to 70°):
| 2θ/deg | d [Å] | I_rel |
| --- | --- | --- |
| 10.8 | 8.167 | 100.0 |
| 16.1 | 5.514 | 44.9 |
| 22.6 | 3.937 | 42.7 |
| 33.2 | 2.695 | 42.7 |
| 8.0 | 11.027 | 34.8 |
| 20.2 | 4.403 | 34.6 |
| 26.1 | 3.419 | 32.2 |
| 28.1 | 3.181 | 28.1 |
| 27.4 | 3.252 | 28.0 |
| 12.9 | 6.841 | 27.8 |

***

[2]
This entry pairs a crystal structure of Na2ZnH4O4 with its theoretical powder diffraction line list. Radiation: Cu Kα, 1.54184 Å. Structure: the PBE geometry in the Materials Project.
Intensities are scaled so that the largest is 100.

Atomic structure:
Cell: 8.0938 6.6316 11.4720 Å, 90.00 130.81 90.00°
Fractional coordinates of all 44 atoms:
Na  0.0138  0.0623  0.2879
Na  0.0138  0.4377  0.7879
Na  0.4838  0.7491  0.9921
Na  0.4838  0.7509  0.4921
Na  0.5162  0.2491  0.5079
Na  0.5162  0.2509  0.0079
Na  0.9862  0.5623  0.2121
Na  0.9862  0.9377  0.7121
Zn  0.1865  0.2481  0.6388
Zn  0.1865  0.2519  0.1388
Zn  0.8135  0.7481  0.8612
Zn  0.8135  0.7519  0.3612
H  0.1915  0.0454  0.9750
H  0.1915  0.4546  0.4750
H  0.2071  0.6897  0.0373
H  0.2071  0.8103  0.5373
H  0.2738  0.5930  0.7415
H  0.2738  0.9070  0.2415
H  0.4411  0.5361  0.2776
H  0.4411  0.9639  0.7776
H  0.5589  0.0361  0.2224
H  0.5589  0.4639  0.7224
H  0.7262  0.0930  0.7585
H  0.7262  0.4070  0.2585
H  0.7929  0.1897  0.4627
H  0.7929  0.3103  0.9627
H  0.8085  0.5454  0.5250
H  0.8085  0.9546  0.0250
O  0.1217  0.7456  0.9340
O  0.1217  0.7544  0.4340
O  0.1970  0.1936  0.9766
O  0.1970  0.3064  0.4766
O  0.3193  0.0006  0.7712
O  0.3193  0.4994  0.2712
O  0.3284  0.0324  0.2993
O  0.3284  0.4676  0.7993
O  0.6716  0.5324  0.2007
O  0.6716  0.9676  0.7007
O  0.6807  0.5006  0.7288
O  0.6807  0.9994  0.2288
O  0.8030  0.6936  0.5234
O  0.8030  0.8064  0.0234
O  0.8783  0.2456  0.5660
O  0.8783  0.2544  0.0660

Main lines, most intense first (2θ from 5° to 70°):
| 2θ/deg | d [Å] | I_rel |
| --- | --- | --- |
| 19.7 | 4.500 | 100.0 |
| 24.5 | 3.632 | 68.9 |
| 34.2 | 2.624 | 64.1 |
| 43.5 | 2.078 | 37.8 |
| 34.0 | 2.635 | 35.8 |
| 52.6 | 1.739 | 34.1 |
| 20.5 | 4.332 | 31.9 |
| 22.0 | 4.037 | 29.7 |
| 26.9 | 3.316 | 26.9 |
| 32.2 | 2.783 | 25.2 |

***

[3]
This entry pairs a crystal structure of NaPH6 with its theoretical powder diffraction line list. Radiation: Cu Kα, 1.54184 Å. Structure: the PBE geometry in the Materials Project.
Intensities are scaled so that the largest is 100.

Atomic structure:
Cell: 5.2552 5.2552 5.2552 Å, 60.00 60.00 60.00°
Fractional coordinates of all 8 atoms:
Na  0.0000  0.0000  0.0000
P  0.5000  0.5000  0.5000
H  0.2995  0.2995  0.7005
H  0.2995  0.7005  0.2995
H  0.2995  0.7005  0.7005
H  0.7005  0.2995  0.2995
H  0.7005  0.2995  0.7005
H  0.7005  0.7005  0.2995

Main lines, most intense first (2θ from 5° to 70°):
| 2θ/deg | d [Å] | I_rel |
| --- | --- | --- |
| 23.9 | 3.716 | 100.0 |
| 34.1 | 2.628 | 60.1 |
| 55.3 | 1.662 | 29.8 |
| 61.1 | 1.517 | 19.4 |
| 42.1 | 2.145 | 18.1 |
| 49.0 | 1.858 | 12.5 |
| 20.7 | 4.291 | 6.9 |
| 40.2 | 2.241 | 0.7 |

***

[4]
This entry pairs a crystal structure of NaH2Pd3 with its theoretical powder diffraction line list. Radiation: Cu Kα, 1.54184 Å. Structure: the PBE geometry in the Materials Project.
Intensities are scaled so that the largest is 100.

Atomic structure:
Cell: 5.7139 8.6815 2.8502 Å, 90.00 90.00 90.00°
Fractional coordinates of all 12 atoms:
Na  0.0000  0.0000  0.0000
Na  0.5000  0.5000  0.0000
H  0.0000  0.2858  0.0000
H  0.0000  0.7142  0.0000
H  0.5000  0.2142  0.0000
H  0.5000  0.7858  0.0000
Pd  0.0000  0.5000  0.0000
Pd  0.2500  0.2500  0.5000
Pd  0.2500  0.7500  0.5000
Pd  0.5000  0.0000  0.0000
Pd  0.7500  0.2500  0.5000
Pd  0.7500  0.7500  0.5000

Main lines, most intense first (2θ from 5° to 70°):
| 2θ/deg | d [Å] | I_rel |
| --- | --- | --- |
| 37.7 | 2.384 | 100.0 |
| 44.9 | 2.018 | 31.0 |
| 62.9 | 1.478 | 22.0 |
| 41.6 | 2.170 | 19.3 |
| 18.6 | 4.773 | 18.2 |
| 20.5 | 4.341 | 7.7 |
| 36.7 | 2.447 | 6.4 |
| 65.3 | 1.428 | 4.9 |
| 65.5 | 1.425 | 4.9 |
| 31.3 | 2.854 | 4.5 |

***

[5]
This entry pairs a crystal structure of Na2H4Pd with its theoretical powder diffraction line list. Radiation: Cu Kα, 1.54184 Å. Structure: the PBE geometry in the Materials Project.
Intensities are scaled so that the largest is 100.

Atomic structure:
Cell: 5.3708 5.3708 6.5953 Å, 90.00 90.00 90.00°
Fractional coordinates of all 14 atoms:
Na  0.0000  0.5000  0.2500
Na  0.0000  0.5000  0.7500
Na  0.5000  0.0000  0.2500
Na  0.5000  0.0000  0.7500
H  0.2177  0.2177  0.0000
H  0.2177  0.7823  0.0000
H  0.2823  0.2823  0.5000
H  0.2823  0.7177  0.5000
H  0.7177  0.2823  0.5000
H  0.7177  0.7177  0.5000
H  0.7823  0.2177  0.0000
H  0.7823  0.7823  0.0000
Pd  0.0000  0.0000  0.0000
Pd  0.5000  0.5000  0.5000

Main lines, most intense first (2θ from 5° to 70°):
| 2θ/deg | d [Å] | I_rel |
| --- | --- | --- |
| 21.3 | 4.165 | 100.0 |
| 36.1 | 2.490 | 52.6 |
| 39.9 | 2.257 | 36.6 |
| 33.4 | 2.685 | 30.3 |
| 61.4 | 1.510 | 20.8 |
| 44.5 | 2.035 | 13.8 |
| 56.8 | 1.622 | 12.9 |
| 47.9 | 1.899 | 11.9 |
| 23.4 | 3.798 | 11.6 |
| 64.1 | 1.453 | 9.2 |

***

[6]
This entry pairs a crystal structure of Na2H2Pd with its theoretical powder diffraction line list. Radiation: Cu Kα, 1.54184 Å. Structure: the PBE geometry in the Materials Project.
Intensities are scaled so that the largest is 100.

Atomic structure:
Cell: 3.5895 3.5895 11.4344 Å, 90.00 90.00 90.00°
Fractional coordinates of all 10 atoms:
Na  0.0000  0.0000  0.1398
Na  0.0000  0.0000  0.8602
Na  0.5000  0.5000  0.3602
Na  0.5000  0.5000  0.6398
H  0.0000  0.0000  0.3513
H  0.0000  0.0000  0.6487
H  0.5000  0.5000  0.1487
H  0.5000  0.5000  0.8513
Pd  0.0000  0.0000  0.5000
Pd  0.5000  0.5000  0.0000

Main lines, most intense first (2θ from 5° to 70°):
| 2θ/deg | d [Å] | I_rel |
| --- | --- | --- |
| 34.3 | 2.613 | 100.0 |
| 15.5 | 5.717 | 78.0 |
| 26.0 | 3.425 | 58.7 |
| 35.4 | 2.538 | 53.6 |
| 62.8 | 1.479 | 33.0 |
| 38.8 | 2.320 | 31.2 |
| 47.1 | 1.929 | 27.8 |
| 50.9 | 1.795 | 18.1 |
| 60.8 | 1.524 | 15.1 |
| 58.0 | 1.590 | 12.3 |

***

[7]
This entry pairs a crystal structure of Na4H4PdPt with its theoretical powder diffraction line list. Radiation: Cu Kα, 1.54184 Å. Structure: the PBE geometry in the Materials Project.
Intensities are scaled so that the largest is 100.

Atomic structure:
Cell: 3.6387 3.6387 11.2755 Å, 90.00 90.00 90.00°
Fractional coordinates of all 10 atoms:
Na  0.0000  0.0000  0.1345
Na  0.0000  0.0000  0.8655
Na  0.5000  0.5000  0.3612
Na  0.5000  0.5000  0.6388
H  0.0000  0.0000  0.3493
H  0.0000  0.0000  0.6507
H  0.5000  0.5000  0.1484
H  0.5000  0.5000  0.8516
Pd  0.0000  0.0000  0.5000
Pt  0.5000  0.5000  0.0000

Main lines, most intense first (2θ from 5° to 70°):
| 2θ/deg | d [Å] | I_rel |
| --- | --- | --- |
| 34.3 | 2.614 | 100.0 |
| 15.7 | 5.638 | 94.1 |
| 25.7 | 3.463 | 84.4 |
| 34.9 | 2.573 | 54.9 |
| 38.5 | 2.341 | 41.5 |
| 62.2 | 1.493 | 35.3 |
| 47.4 | 1.917 | 32.5 |
| 7.8 | 11.276 | 32.5 |
| 57.2 | 1.611 | 19.2 |
| 50.1 | 1.819 | 19.1 |

***

[8]
This entry pairs a crystal structure of Na4H8PdPt with its theoretical powder diffraction line list. Radiation: Cu Kα, 1.54184 Å. Structure: the PBE geometry in the Materials Project.
Intensities are scaled so that the largest is 100.

Atomic structure:
Cell: 5.0476 5.0476 8.5756 Å, 101.21 101.21 63.68°
Fractional coordinates of all 14 atoms:
Na  0.1242  0.1242  0.3747
Na  0.3742  0.3742  0.1247
Na  0.6258  0.6258  0.8753
Na  0.8758  0.8758  0.6253
H  0.1101  0.6699  0.8898
H  0.1708  0.6096  0.3904
H  0.3301  0.8899  0.1102
H  0.3904  0.8292  0.6096
H  0.6096  0.1708  0.3904
H  0.6699  0.1101  0.8898
H  0.8292  0.3904  0.6096
H  0.8899  0.3301  0.1102
Pd  0.5000  0.5000  0.5000
Pt  0.0000  0.0000  0.0000

Main lines, most intense first (2θ from 5° to 70°):
| 2θ/deg | d [Å] | I_rel |
| --- | --- | --- |
| 21.3 | 4.174 | 100.0 |
| 35.8 | 2.508 | 46.2 |
| 40.2 | 2.245 | 37.7 |
| 33.7 | 2.663 | 25.8 |
| 61.6 | 1.506 | 18.4 |
| 23.6 | 3.766 | 17.0 |
| 43.8 | 2.065 | 15.1 |
| 56.4 | 1.632 | 14.4 |
| 48.3 | 1.883 | 10.1 |
| 64.6 | 1.443 | 9.7 |

***

[9]
This entry pairs a crystal structure of Na2H4Pt with its theoretical powder diffraction line list. Radiation: Cu Kα, 1.54184 Å. Structure: the PBE geometry in the Materials Project.
Intensities are scaled so that the largest is 100.

Atomic structure:
Cell: 5.2797 5.2797 6.7462 Å, 90.00 90.00 90.00°
Fractional coordinates of all 14 atoms:
Na  0.0000  0.5000  0.2500
Na  0.0000  0.5000  0.7500
Na  0.5000  0.0000  0.2500
Na  0.5000  0.0000  0.7500
H  0.2220  0.2220  0.0000
H  0.2220  0.7780  0.0000
H  0.2780  0.2780  0.5000
H  0.2780  0.7220  0.5000
H  0.7220  0.2780  0.5000
H  0.7220  0.7220  0.5000
H  0.7780  0.2220  0.0000
H  0.7780  0.7780  0.0000
Pt  0.0000  0.0000  0.0000
Pt  0.5000  0.5000  0.5000

Main lines, most intense first (2θ from 5° to 70°):
| 2θ/deg | d [Å] | I_rel |
| --- | --- | --- |
| 21.4 | 4.158 | 100.0 |
| 35.9 | 2.503 | 42.4 |
| 40.5 | 2.229 | 38.3 |
| 34.0 | 2.640 | 23.4 |
| 23.8 | 3.733 | 20.7 |
| 62.0 | 1.496 | 17.0 |
| 43.8 | 2.069 | 15.7 |
| 56.5 | 1.628 | 14.7 |
| 65.2 | 1.431 | 9.8 |
| 48.8 | 1.867 | 9.1 |

***

[10]
This entry pairs a crystal structure of Na2H6Pt with its theoretical powder diffraction line list. Radiation: Cu Kα, 1.54184 Å. Structure: the PBE geometry in the Materials Project.
Intensities are scaled so that the largest is 100.

Atomic structure:
Cell: 5.2128 5.2128 5.2128 Å, 60.00 60.00 60.00°
Fractional coordinates of all 9 atoms:
Na  0.2500  0.2500  0.2500
Na  0.7500  0.7500  0.7500
H  0.2238  0.2238  0.7762
H  0.2238  0.7762  0.2238
H  0.2238  0.7762  0.7762
H  0.7762  0.2238  0.2238
H  0.7762  0.2238  0.7762
H  0.7762  0.7762  0.2238
Pt  0.0000  0.0000  0.0000

Main lines, most intense first (2θ from 5° to 70°):
| 2θ/deg | d [Å] | I_rel |
| --- | --- | --- |
| 20.9 | 4.256 | 100.0 |
| 34.4 | 2.606 | 65.4 |
| 40.6 | 2.223 | 53.9 |
| 24.1 | 3.686 | 29.8 |
| 61.6 | 1.505 | 24.2 |
| 54.2 | 1.691 | 23.2 |
| 65.8 | 1.419 | 17.7 |
| 55.8 | 1.648 | 12.8 |
| 49.5 | 1.843 | 12.5 |
| 42.5 | 2.128 | 8.1 |

***

[11]
This entry pairs a crystal structure of RbNaH2 with its theoretical powder diffraction line list. Radiation: Cu Kα, 1.54184 Å. Structure: the PBE geometry in the Materials Project.
Intensities are scaled so that the largest is 100.

Atomic structure:
Cell: 3.9753 3.9753 5.6104 Å, 90.00 90.00 90.00°
Fractional coordinates of all 4 atoms:
Rb  0.0000  0.0000  0.0000
Na  0.5000  0.5000  0.5000
H  0.0000  0.0000  0.5000
H  0.5000  0.5000  0.0000

Main lines, most intense first (2θ from 5° to 70°):
| 2θ/deg | d [Å] | I_rel |
| --- | --- | --- |
| 27.5 | 3.244 | 100.0 |
| 31.9 | 2.809 | 57.2 |
| 54.1 | 1.694 | 44.1 |
| 45.7 | 1.986 | 39.9 |
| 15.8 | 5.610 | 30.7 |
| 22.4 | 3.975 | 27.5 |
| 35.7 | 2.513 | 16.3 |
| 56.8 | 1.622 | 13.5 |
| 39.3 | 2.292 | 12.5 |
| 48.6 | 1.873 | 8.4 |

***

[12]
This entry pairs a crystal structure of RbNa3H4 with its theoretical powder diffraction line list. Radiation: Cu Kα, 1.54184 Å. Structure: the PBE geometry in the Materials Project.
Intensities are scaled so that the largest is 100.

Atomic structure:
Cell: 5.2859 5.2859 5.2859 Å, 90.00 90.00 90.00°
Fractional coordinates of all 8 atoms:
Rb  0.0000  0.0000  0.0000
Na  0.0000  0.5000  0.5000
Na  0.5000  0.0000  0.5000
Na  0.5000  0.5000  0.0000
H  0.0000  0.0000  0.5000
H  0.0000  0.5000  0.0000
H  0.5000  0.0000  0.0000
H  0.5000  0.5000  0.5000

Main lines, most intense first (2θ from 5° to 70°):
| 2θ/deg | d [Å] | I_rel |
| --- | --- | --- |
| 29.3 | 3.052 | 100.0 |
| 33.9 | 2.643 | 58.8 |
| 16.8 | 5.286 | 46.4 |
| 57.9 | 1.594 | 41.8 |
| 23.8 | 3.738 | 41.0 |
| 48.7 | 1.869 | 39.5 |
| 38.1 | 2.364 | 23.6 |
| 41.9 | 2.158 | 18.0 |
| 60.7 | 1.526 | 12.9 |
| 51.9 | 1.762 | 12.1 |